For Na3SiSbCO7, a GGA-PBE-relaxed structure gives the theoretical powder diffractogram in this record (λ = 1.5418 Å (Cu Kα)).
Lines closer than 0.1° are merged.

The 10 most intense peaks (2θ = 15–90°), in order of falling intensity:
hkl  2θ/deg  intensity
0 2 0  25.36  100
2 0 0  34.82  90
1 2 1  32.45  77
0 1 1  15.66  65
1 1 0  21.38  59
0 2 4  45.98  54
1 0 2  26.02  51
1 2 -1  31.99  46
1 0 -1  19.19  42
0 4 0  52.08  39

Crystal structure
a = 5.161 Å, b = 7.025 Å, c = 9.555 Å
α = 90.00°, β = 92.63°, γ = 90.00°
Positions (direct):
Na 0.221 0.250 0.402
Na 0.246 0.506 0.753
Na 0.246 0.994 0.753
Na 0.754 0.006 0.247
Na 0.754 0.494 0.247
Na 0.779 0.750 0.598
Si 0.279 0.250 0.090
Si 0.721 0.750 0.910
Sb 0.245 0.750 0.138
Sb 0.755 0.250 0.862
C 0.271 0.750 0.450
C 0.729 0.250 0.550
O 0.066 0.750 0.363
O 0.141 0.250 0.927
O 0.192 0.063 0.180
O 0.192 0.437 0.180
O 0.236 0.750 0.584
O 0.401 0.750 0.922
O 0.498 0.250 0.596
O 0.502 0.750 0.404
O 0.599 0.250 0.078
O 0.764 0.250 0.416
O 0.808 0.563 0.820
O 0.808 0.937 0.820
O 0.859 0.750 0.073
O 0.934 0.250 0.637